Entry 1:
For TbTcGe, a structure optimized by DFT (GGA-PBE) gives the simulated powder diffractogram in this record (Cu Kα (weighted mean of Kα1 and Kα2)).
Lines closer than 0.1° are merged.

Peak list (10 most intense, 5 to 70 degrees two-theta, in order of rising 2θ)
2θ/deg	I (rel.)
25.2	20
31.4	29
33.0	80
33.7	83
36.8	27
40.1	100
44.9	69
56.9	34
59.4	27
65.4	22

Structural model:
Unit cell a=4.035 b=4.035 c=7.320 alpha=90.00 beta=90.00 gamma=90.00
Fractional positions:
1 Tb 0.250 0.250 0.161
2 Tb 0.750 0.750 0.839
3 Tc 0.250 0.750 0.500
4 Tc 0.750 0.250 0.500
5 Ge 0.250 0.250 0.725
6 Ge 0.750 0.750 0.275

=====

Entry 2:
For TbGe2Te4, a structure optimized by DFT (GGA-PBE) gives the simulated powder diffractogram in this record (Cu Kα (weighted mean of Kα1 and Kα2)).
Lines closer than 0.1° are merged.

Peak list (10 most intense, 5 to 70 degrees two-theta, in order of rising 2θ)
2θ/deg	I (rel.)
16.4	23
24.8	30
27.3	100
29.2	17
30.9	42
33.2	26
43.0	50
45.2	25
47.4	35
60.5	17

Structural model:
Unit cell a=6.820 b=6.820 c=6.820 alpha=106.12 beta=106.12 gamma=116.40
Fractional positions:
1 Tb 0.000 0.000 0.000
2 Ge 0.250 0.750 0.500
3 Ge 0.750 0.250 0.500
4 Te 0.195 0.681 0.876
5 Te 0.319 0.195 0.513
6 Te 0.681 0.805 0.487
7 Te 0.805 0.319 0.124